(1)
SmAl3B4O12: simulated powder diffractogram (Cu Ka), based on a cell relaxed with GGA-PBE.
No peak broadening, texture or thermal motion is included.

Most intense lines, 2θ = 5–70°, in order of falling intensity:
Position (°2θ), I/Imax
32.83, 100
25.02, 65
15.62, 62
16.26, 35
20.42, 35
31.11, 31
39.20, 27
38.13, 24
54.12, 22
24.65, 18

Structure:
```
data_SmAl3B4O12
_cell_length_a 7.304
_cell_length_b 9.419
_cell_length_c 11.199
_cell_angle_alpha 90.00
_cell_angle_beta 103.32
_cell_angle_gamma 90.00
_symmetry_space_group_name_H-M 'C 1 2/c 1'
_symmetry_Int_Tables_number 15
_symmetry_space_group_name_Hall '-C 2yc'
loop_
_atom_site_label
_atom_site_fract_x
_atom_site_fract_y
_atom_site_fract_z
Sm1 0.000 0.036 0.250
Al1 0.000 0.412 0.750
Al2 0.055 0.250 0.528
B1 0.193 0.314 0.222
B2 0.248 0.471 0.995
O1 0.061 0.240 0.139
O2 0.095 0.098 0.937
O3 0.096 0.398 0.926
O4 0.159 0.263 0.705
O5 0.189 0.458 0.241
O6 0.250 0.120 0.497
```


(2)
SmAl3B4O12: simulated powder diffractogram (Cu Ka), based on a cell relaxed with GGA-PBE.
No peak broadening, texture or thermal motion is included.

Most intense lines, 2θ = 5–70°, in order of falling intensity:
Position (°2θ), I/Imax
32.80, 100
16.23, 83
25.01, 65
18.90, 51
38.13, 43
31.54, 43
41.89, 37
54.03, 29
26.56, 28
41.48, 25

Structure:
```
data_SmAl3B4O12
_cell_length_a 9.3904
_cell_length_b 9.3904
_cell_length_c 7.3702
_cell_angle_alpha 90.00
_cell_angle_beta 90.00
_cell_angle_gamma 120.00
_symmetry_space_group_name_H-M 'R 3 2'
_symmetry_Int_Tables_number 155
_symmetry_space_group_name_Hall 'R 3 2"'
loop_
_atom_site_label
_atom_site_fract_x
_atom_site_fract_y
_atom_site_fract_z
Sm1 0.0000 0.0000 0.0000
Al1 0.0000 0.5557 0.0000
B1 0.0000 0.0000 0.5000
B2 0.0000 0.4425 0.5000
O1 0.0000 0.5910 0.5000
O2 0.0000 0.8513 0.5000
O3 0.0328 0.2180 0.1912
```